[1]
The following is a theoretical XRD peak list of Te2AuBr. It was derived from a GGA-PBE-relaxed structure, using Cu Kα, 1.54184 Å.

Atomic structure:
Cell lengths 5.266, 6.955, 7.444 Å; angles 91.57, 97.04, 109.57 degrees
Space group P1 (No. 1)
One atom of each set of equivalent atoms:
Te: 0.000 0.000 0.000 (multiplicity 1)
Te: 0.059 0.466 0.634 (multiplicity 1)
Te: 0.312 0.036 0.708 (multiplicity 1)
Te: 0.762 0.456 0.927 (multiplicity 1)
Au: 0.200 0.734 0.153 (multiplicity 1)
Au: 0.525 0.739 0.818 (multiplicity 1)
Br: 0.375 0.464 0.295 (multiplicity 1)
Br: 0.613 0.029 0.360 (multiplicity 1)

Main lines, in order of falling intensity (5° ≤ 2θ ≤ 70°):
| 2theta | intensity |
| --- | --- |
| 28.2 | 100 |
| 30.3 | 85 |
| 30.0 | 75 |
| 12.0 | 56 |
| 13.5 | 40 |
| 43.5 | 35 |
| 38.6 | 31 |
| 44.9 | 30 |
| 44.5 | 30 |
| 41.4 | 30 |
| 40.2 | 29 |
| 29.3 | 21 |


[2]
The following is a theoretical XRD peak list of TlAuBr5. It was derived from a GGA-PBE-relaxed structure, using Cu Kα, 1.54184 Å.

Atomic structure:
Cell lengths 12.136, 9.512, 10.638 Å; angles 90.00, 110.39, 90.00 degrees
Space group C2/c (No. 15)
One atom of each set of equivalent atoms:
Tl: 0.000 0.172 0.250 (multiplicity 4)
Au: 0.000 0.500 0.000 (multiplicity 4)
Br: 0.000 0.477 0.250 (multiplicity 4)
Br: 0.054 0.249 0.009 (multiplicity 8)
Br: 0.200 0.058 0.373 (multiplicity 8)

Main lines, in order of falling intensity (5° ≤ 2θ ≤ 70°):
| 2theta | intensity |
| --- | --- |
| 15.6 | 100 |
| 19.2 | 71 |
| 13.3 | 47 |
| 29.2 | 41 |
| 33.9 | 40 |
| 16.6 | 40 |
| 37.0 | 31 |
| 31.5 | 29 |
| 25.3 | 28 |
| 12.1 | 28 |
| 20.7 | 23 |
| 29.5 | 20 |


[3]
The following is a theoretical XRD peak list of TlAuBr2. It was derived from a GGA-PBE-relaxed structure, using Cu Kα, 1.54184 Å.

Atomic structure:
Cell lengths 12.753, 4.309, 5.222 Å; angles 90.00, 93.97, 90.00 degrees
Space group Cm (No. 8)
One atom of each set of equivalent atoms:
Tl: 0.000 0.000 0.000 (multiplicity 2)
Au: 0.185 0.500 0.817 (multiplicity 2)
Br: 0.026 0.500 0.498 (multiplicity 2)
Br: 0.279 0.000 0.019 (multiplicity 2)

Main lines, in order of falling intensity (5° ≤ 2θ ≤ 70°):
| 2theta | intensity |
| --- | --- |
| 27.5 | 100 |
| 17.0 | 97 |
| 35.1 | 76 |
| 29.6 | 62 |
| 33.5 | 45 |
| 28.1 | 37 |
| 13.9 | 34 |
| 31.9 | 30 |
| 41.9 | 30 |
| 56.7 | 25 |
| 43.4 | 25 |
| 40.7 | 24 |


[4]
The following is a theoretical XRD peak list of Tl2Au2Br7. It was derived from a GGA-PBE-relaxed structure, using Cu Kα, 1.54184 Å.

Atomic structure:
Cell lengths 11.971, 11.305, 13.893 Å; angles 90.00, 109.06, 90.00 degrees
Space group C2/c (No. 15)
One atom of each set of equivalent atoms:
Tl: 0.088 0.149 0.463 (multiplicity 8)
Au: 0.068 0.500 0.185 (multiplicity 8)
Br: 0.000 0.319 0.750 (multiplicity 4)
Br: 0.069 0.047 0.644 (multiplicity 8)
Br: 0.116 0.299 0.144 (multiplicity 8)
Br: 0.206 0.398 0.589 (multiplicity 8)

Main lines, in order of falling intensity (5° ≤ 2θ ≤ 70°):
| 2theta | intensity |
| --- | --- |
| 19.4 | 100 |
| 15.7 | 57 |
| 20.8 | 55 |
| 34.1 | 36 |
| 11.6 | 34 |
| 26.5 | 29 |
| 23.9 | 25 |
| 34.6 | 21 |
| 38.3 | 21 |
| 44.2 | 20 |
| 21.7 | 19 |
| 24.7 | 18 |


[5]
The following is a theoretical XRD peak list of TlAu2Br4. It was derived from a GGA-PBE-relaxed structure, using Cu Kα, 1.54184 Å.

Atomic structure:
Cell lengths 14.426, 8.481, 11.181 Å; angles 90.00, 128.99, 90.00 degrees
Space group C2/c (No. 15)
One atom of each set of equivalent atoms:
Tl: 0.000 0.225 0.250 (multiplicity 4)
Au: 0.000 0.000 0.000 (multiplicity 4)
Au: 0.250 0.250 0.000 (multiplicity 4)
Br: 0.053 0.263 0.975 (multiplicity 8)
Br: 0.240 0.453 0.482 (multiplicity 8)

Main lines, in order of falling intensity (5° ≤ 2θ ≤ 70°):
| 2theta | intensity |
| --- | --- |
| 19.5 | 100 |
| 20.4 | 86 |
| 32.6 | 76 |
| 13.1 | 72 |
| 31.9 | 69 |
| 28.5 | 62 |
| 26.5 | 58 |
| 41.6 | 53 |
| 33.3 | 50 |
| 35.8 | 44 |
| 16.1 | 41 |
| 41.7 | 38 |


[6]
The following is a theoretical XRD peak list of Tl4AuBr5. It was derived from a GGA-PBE-relaxed structure, using Cu Kα, 1.54184 Å.

Atomic structure:
Cell lengths 10.244, 10.244, 6.707 Å; angles 90.00, 90.00, 90.00 degrees
Space group I4 (No. 79)
One atom of each set of equivalent atoms:
Tl: 0.090 0.300 0.000 (multiplicity 8)
Au: 0.000 0.000 0.472 (multiplicity 2)
Br: 0.000 0.000 0.017 (multiplicity 2)
Br: 0.097 0.259 0.503 (multiplicity 8)

Main lines, in order of falling intensity (5° ≤ 2θ ≤ 70°):
| 2theta | intensity |
| --- | --- |
| 27.5 | 100 |
| 38.6 | 81 |
| 26.6 | 58 |
| 23.5 | 57 |
| 48.1 | 39 |
| 39.3 | 36 |
| 46.3 | 27 |
| 62.4 | 26 |
| 63.8 | 15 |
| 64.3 | 14 |
| 69.5 | 12 |
| 61.4 | 12 |